# 1
This entry pairs a crystal structure of TlPbSe2 with its calculated powder diffractogram. Radiation: copper Kα. Structure: DFT lattice parameters and positions (PBE).
Neutral-atom scattering factors, no anomalous dispersion.

The 10 most intense peaks (2θ from 10° to 80°), by angle:
(hkl)  two_theta  I_rel
0 1 2  25.0  26
1 1 0  25.1  25
1 0 2  28.6  100
0 2 0  29.8  45
0 0 4  40.7  20
2 0 0  41.1  19
1 2 2  41.7  73
0 2 4  51.2  20
2 2 0  51.6  20
2 2 4  67.7  18

Structure:
Cell lengths 4.3929, 6.0041, 8.8702 Å; angles 90.00, 90.00, 90.00 degrees
Space group Pmmn (No. 59, origin choice 2)
Asymmetric unit:
Tl  0.2500  0.2500  0.1275 [2 per cell]
Pb  0.2500  0.2500  0.6246 [2 per cell]
Se  0.2500  0.7500  0.1289 [2 per cell]
Se  0.2500  0.7500  0.6199 [2 per cell]



# 2
This entry pairs a crystal structure of Tl3PbSe3 with its calculated powder diffractogram. Radiation: copper Kα. Structure: DFT lattice parameters and positions (PBE).
Neutral-atom scattering factors, no anomalous dispersion.

The 10 most intense peaks (2θ from 10° to 80°), by angle:
(hkl)  two_theta  I_rel
0 2 2  24.8  43
2 0 2  25.0  35
2 2 0  28.0  100
0 0 4  30.5  36
0 4 0  39.8  20
4 0 0  40.3  18
2 2 4  41.9  61
0 4 4  50.9  21
4 0 4  51.3  16
4 4 4  66.8  17

Structure:
Cell lengths 8.9587, 9.0639, 11.7209 Å; angles 90.00, 90.00, 90.00 degrees
Space group Imma (No. 74)
Asymmetric unit:
Tl  0.0000  0.2500  0.2183 [4 per cell]
Tl  0.2328  0.0000  0.5000 [8 per cell]
Pb  0.0000  0.2500  0.7443 [4 per cell]
Se  0.0000  0.2500  0.4976 [4 per cell]
Se  0.2500  0.0114  0.7500 [8 per cell]



# 3
This entry pairs a crystal structure of TlPbSe2 with its calculated powder diffractogram. Radiation: copper Kα. Structure: DFT lattice parameters and positions (PBE).
Neutral-atom scattering factors, no anomalous dispersion.

The 10 most intense peaks (2θ from 10° to 80°), by angle:
(hkl)  two_theta  I_rel
0 1 1  22.8  30
1 0 2  24.6  61
0 0 4  25.1  57
1 1 1  31.3  100
1 1 3  36.2  76
0 1 5  38.7  35
2 0 0  43.0  24
1 0 6  43.9  36
0 2 0  44.8  21
1 2 6  64.5  23

Structure:
Cell lengths 4.2100, 4.0470, 14.2105 Å; angles 90.00, 90.00, 90.00 degrees
Space group Amm2 (No. 38)
Asymmetric unit:
Tl  0.0000  0.0000  0.0000 [2 per cell]
Pb  0.5000  0.0000  0.2317 [2 per cell]
Se  0.0000  0.0000  0.8003 [2 per cell]
Se  0.5000  0.0000  0.5547 [2 per cell]



# 4
This entry pairs a crystal structure of TmTl2PbSe4 with its calculated powder diffractogram. Radiation: copper Kα. Structure: DFT lattice parameters and positions (PBE).
Neutral-atom scattering factors, no anomalous dispersion.

The 10 most intense peaks (2θ from 10° to 80°), by angle:
(hkl)  two_theta  I_rel
0 0 2  24.2  15
2 0 0  24.9  14
1 1 -1  25.5  24
2 0 -2  28.7  52
1 1 1  29.2  100
2 0 2  40.4  19
1 1 -3  41.0  38
3 1 -1  41.8  37
0 2 0  42.9  18
2 2 -2  52.5  20

Structure:
Cell lengths 7.5643, 4.2117, 7.7586 Å; angles 90.00, 108.71, 90.00 degrees
Space group P2/m (No. 10)
Asymmetric unit:
Tm  0.0000  0.0000  0.0000 [1 per cell]
Tl  0.0000  0.5000  0.5000 [1 per cell]
Tl  0.5000  0.0000  0.5000 [1 per cell]
Pb  0.5000  0.5000  0.0000 [1 per cell]
Se  0.2196  0.5000  0.2126 [2 per cell]
Se  0.2343  0.0000  0.7726 [2 per cell]



# 5
This entry pairs a crystal structure of YPb2Se4 with its calculated powder diffractogram. Radiation: copper Kα. Structure: DFT lattice parameters and positions (PBE).
Neutral-atom scattering factors, no anomalous dispersion.

The 10 most intense peaks (2θ from 10° to 80°), by angle:
(hkl)  two_theta  I_rel
0 2 3  23.0  98
1 3 0  28.7  100
1 3 1  29.5  68
1 3 2  31.6  90
0 2 5  34.9  42
1 1 5  39.9  74
1 5 2  40.7  38
0 6 3  42.9  43
1 5 3  43.4  42
2 0 0  44.0  39

Structure:
Cell lengths 4.1120, 14.2285, 13.7933 Å; angles 90.00, 90.00, 90.00 degrees
Space group Cmcm (No. 63)
Asymmetric unit:
Y  0.0000  0.1063  0.2500 [4 per cell]
Pb  0.0000  0.3658  0.0644 [8 per cell]
Se  0.0000  0.0000  0.0000 [4 per cell]
Se  0.0000  0.2892  0.6379 [8 per cell]
Se  0.0000  0.4652  0.2500 [4 per cell]



# 6
This entry pairs a crystal structure of Y3PbSe with its calculated powder diffractogram. Radiation: copper Kα. Structure: DFT lattice parameters and positions (PBE).
Neutral-atom scattering factors, no anomalous dispersion.

The 10 most intense peaks (2θ from 10° to 80°), by angle:
(hkl)  two_theta  I_rel
1 0 0  11.0  31
1 0 1  16.3  38
0 0 2  20.9  40
2 1 0  30.6  100
2 1 -1  31.3  97
1 1 2  32.9  50
2 1 -2  35.3  39
1 1 -3  38.3  43
2 1 2  39.3  51
0 2 0  42.4  48

Structure:
Cell lengths 8.1084, 4.2615, 8.6227 Å; angles 90.00, 98.89, 90.00 degrees
Space group P2_1/m (No. 11)
Asymmetric unit:
Y  0.0762  0.2500  0.3170 [2 per cell]
Y  0.3225  0.2500  0.9659 [2 per cell]
Y  0.3885  0.7500  0.6281 [2 per cell]
Pb  0.3400  0.7500  0.2393 [2 per cell]
Se  0.1530  0.2500  0.6497 [2 per cell]



# 7
This entry pairs a crystal structure of Y3Pb2Se with its calculated powder diffractogram. Radiation: copper Kα. Structure: DFT lattice parameters and positions (PBE).
Neutral-atom scattering factors, no anomalous dispersion.

The 10 most intense peaks (2θ from 10° to 80°), by angle:
(hkl)  two_theta  I_rel
0 1 3  23.9  12
0 2 0  28.8  49
1 0 3  29.5  100
0 0 6  38.8  22
1 2 3  41.6  71
2 0 0  45.3  14
0 2 6  49.0  21
2 2 0  54.6  16
1 4 3  67.8  17
2 2 6  69.0  15

Structure:
Cell lengths 4.0010, 6.2089, 13.9294 Å; angles 90.00, 90.00, 90.00 degrees
Space group Immm (No. 71)
Asymmetric unit:
Y  0.0000  0.0000  0.0000 [2 per cell]
Y  0.0000  0.0000  0.3473 [4 per cell]
Pb  0.0000  0.5000  0.3291 [4 per cell]
Se  0.0000  0.5000  0.0000 [2 per cell]



# 8
This entry pairs a crystal structure of ZnPb2Se3 with its calculated powder diffractogram. Radiation: copper Kα. Structure: DFT lattice parameters and positions (PBE).
Neutral-atom scattering factors, no anomalous dispersion.

The 10 most intense peaks (2θ from 10° to 80°), by angle:
(hkl)  two_theta  I_rel
0 0 4  20.3  61
2 0 2  22.4  61
0 1 3  26.0  76
2 1 0  29.2  59
2 1 1  29.6  100
2 1 2  30.9  70
1 1 5  34.8  81
2 1 5  39.1  58
0 1 7  41.9  57
0 2 0  42.9  75

Structure:
Cell lengths 8.8948, 4.2206, 17.5249 Å; angles 90.00, 90.00, 90.00 degrees
Space group Pnma (No. 62)
Asymmetric unit:
Zn  0.1357  0.2500  0.1362 [4 per cell]
Pb  0.0790  0.2500  0.7336 [4 per cell]
Pb  0.2283  0.2500  0.4713 [4 per cell]
Se  0.0020  0.2500  0.9011 [4 per cell]
Se  0.1153  0.7500  0.5710 [4 per cell]
Se  0.1920  0.2500  0.2755 [4 per cell]



# 9
This entry pairs a crystal structure of SiPb8 with its calculated powder diffractogram. Radiation: copper Kα. Structure: DFT lattice parameters and positions (PBE).
Neutral-atom scattering factors, no anomalous dispersion.

The 10 most intense peaks (2θ from 10° to 80°), by angle:
(hkl)  two_theta  I_rel
1 0 1  20.7  4
2 1 1  26.6  5
3 0 1  31.4  100
3 3 0  35.3  36
0 0 2  38.6  15
6 0 0  50.8  13
3 3 2  53.3  23
6 3 1  61.0  30
3 0 3  65.4  13
6 0 2  65.6  12

Structure:
Cell lengths 10.7743, 10.7743, 4.6667 Å; angles 90.00, 90.00, 90.00 degrees
Space group I4/mmm (No. 139)
Asymmetric unit:
Si  0.0000  0.0000  0.0000 [2 per cell]
Pb  0.0000  0.3300  0.0000 [8 per cell]
Pb  0.1582  0.1582  0.5000 [8 per cell]



# 10
This entry pairs a crystal structure of Sm6Si2Te3Pb with its calculated powder diffractogram. Radiation: copper Kα. Structure: DFT lattice parameters and positions (PBE).
Neutral-atom scattering factors, no anomalous dispersion.

The 10 most intense peaks (2θ from 10° to 80°), by angle:
(hkl)  two_theta  I_rel
1 1 -2  28.7  100
2 0 -4  40.6  13
7 1 -2  40.8  24
5 1 2  41.2  25
0 2 0  41.5  13
8 0 -4  50.2  6
4 0 4  50.7  7
6 2 0  51.2  13
2 2 -4  59.4  12
4 2 4  67.5  10

Structure:
Cell lengths 19.2477, 4.3541, 8.8953 Å; angles 90.00, 104.00, 90.00 degrees
Space group C2/m (No. 12)
Asymmetric unit:
Sm  0.0096  0.0000  0.2544 [4 per cell]
Sm  0.1685  0.5000  0.1076 [4 per cell]
Sm  0.1738  0.5000  0.5678 [4 per cell]
Si  0.1681  0.0000  0.3361 [4 per cell]
Te  0.0000  0.5000  0.5000 [2 per cell]
Te  0.1638  0.0000  0.8325 [4 per cell]
Pb  0.0000  0.5000  0.0000 [2 per cell]



# 11
This entry pairs a crystal structure of Sr6Si2Pb with its calculated powder diffractogram. Radiation: copper Kα. Structure: DFT lattice parameters and positions (PBE).
Neutral-atom scattering factors, no anomalous dispersion.

The 10 most intense peaks (2θ from 10° to 80°), by angle:
(hkl)  two_theta  I_rel
1 1 0  11.7  21
1 1 2  19.4  21
3 1 0  26.7  41
2 2 2  28.3  100
2 1 3  30.0  17
1 3 2  30.5  64
0 0 4  31.1  39
1 1 4  33.4  22
4 0 0  34.0  18
5 3 2  52.8  24

Structure:
Cell lengths 10.5395, 10.7864, 11.4994 Å; angles 90.00, 90.00, 90.00 degrees
Space group Immm (No. 71)
Asymmetric unit:
Sr  0.0000  0.1980  0.2439 [8 per cell]
Sr  0.1827  0.5000  0.1693 [8 per cell]
Sr  0.2194  0.3196  0.5000 [8 per cell]
Si  0.0000  0.3366  0.0000 [4 per cell]
Si  0.0000  0.5000  0.3919 [4 per cell]
Pb  0.0000  0.0000  0.0000 [2 per cell]
Pb  0.0000  0.0000  0.5000 [2 per cell]



# 12
This entry pairs a crystal structure of Sr4Si2Pb5 with its calculated powder diffractogram. Radiation: copper Kα. Structure: DFT lattice parameters and positions (PBE).
Neutral-atom scattering factors, no anomalous dispersion.

The 10 most intense peaks (2θ from 10° to 80°), by angle:
(hkl)  two_theta  I_rel
0 1 0  18.4  93
1 1 -2  28.6  67
2 1 0  29.2  72
1 1 2  29.4  100
2 1 1  31.2  40
1 0 3  31.7  48
2 0 -3  35.9  63
1 1 3  36.9  36
0 2 0  37.3  64
1 2 3  49.7  37

Structure:
Cell lengths 7.9326, 4.8215, 9.2789 Å; angles 90.00, 93.10, 90.00 degrees
Space group P2/m (No. 10)
Asymmetric unit:
Sr  0.2077  0.0000  0.3589 [2 per cell]
Sr  0.2373  0.0000  0.9026 [2 per cell]
Si  0.0718  0.5000  0.1156 [2 per cell]
Pb  0.1323  0.5000  0.6369 [2 per cell]
Pb  0.4266  0.5000  0.1553 [2 per cell]
Pb  0.5000  0.5000  0.5000 [1 per cell]